(1)
# CaAl2Si3H6O13
Calculated X-ray diffraction stick pattern, a wavelength of 1.5418 Å. Input: a DFT-relaxed cell (GGA-PBE, the Materials Project).
Neutral-atom scattering factors, no anomalous dispersion.

Largest 10 diffraction maxima, low angle first, 2θ = 10–90°:
two_theta, d/Å, Rel. int.
13.22, 6.696, 503
15.00, 5.906, 1000
18.50, 4.795, 347
18.97, 4.677, 248
19.94, 4.452, 420
20.14, 4.408, 509
27.84, 3.205, 294
30.28, 2.952, 515
30.56, 2.925, 916
30.86, 2.897, 766

Cell and atoms:
```
data_CaAl2Si3H6O13
_chemical_formula_sum 'Ca4 Al8 Si12 H24 O52'
_cell_length_a 6.574
_cell_length_b 19.179
_cell_length_c 9.905
_cell_angle_alpha 90.00
_cell_angle_beta 109.18
_cell_angle_gamma 90.00
_space_group_name_H-M_alt 'C 1 c 1'
_space_group_IT_number 9
loop_
_space_group_symop_operation_xyz
'x,y,z'
'x,-y,z+1/2'
'x+1/2,y+1/2,z'
'x+1/2,-y+1/2,z+1/2'
loop_
_atom_site_label
_atom_site_type_symbol
_atom_site_fract_x
_atom_site_fract_y
_atom_site_fract_z
Ca1 Ca 0.000 0.107 0.000
Al1 Al 0.186 0.034 0.381
Al2 Al 0.274 0.211 0.548
Si1 Si 0.080 0.082 0.647
Si2 Si 0.108 0.379 0.945
Si3 Si 0.400 0.332 0.779
H1 H 0.027 0.396 0.323
H2 H 0.076 0.471 0.397
H3 H 0.341 0.309 0.224
H4 H 0.372 0.199 0.993
H5 H 0.436 0.256 0.356
H6 H 0.458 0.158 0.139
O1 O 0.022 0.218 0.412
O2 O 0.042 0.100 0.264
O3 O 0.111 0.021 0.537
O4 O 0.111 0.049 0.804
O5 O 0.141 0.425 0.389
O6 O 0.173 0.361 0.801
O7 O 0.254 0.144 0.664
O8 O 0.327 0.169 0.059
O9 O 0.330 0.389 0.082
O10 O 0.339 0.295 0.624
O11 O 0.409 0.305 0.327
O12 O 0.463 0.050 0.417
O13 O 0.475 0.187 0.475
```



(2)
# CaAl2Si2HO9
Calculated X-ray diffraction stick pattern, a wavelength of 1.5418 Å. Input: a DFT-relaxed cell (GGA-PBE, the Materials Project).
Neutral-atom scattering factors, no anomalous dispersion.

Largest 10 diffraction maxima, low angle first, 2θ = 10–90°:
two_theta, d/Å, Rel. int.
13.59, 6.516, 526
18.15, 4.888, 1000
19.40, 4.576, 433
20.94, 4.242, 528
27.47, 3.247, 449
33.04, 2.711, 495
33.69, 2.661, 842
34.01, 2.636, 717
42.44, 2.130, 739
59.22, 1.560, 630

Cell and atoms:
```
data_CaAl2Si2HO9
_chemical_formula_sum 'Ca4 Al8 Si8 H4 O36'
_cell_length_a 5.829
_cell_length_b 8.972
_cell_length_c 13.033
_cell_angle_alpha 90.00
_cell_angle_beta 90.00
_cell_angle_gamma 90.00
_space_group_name_H-M_alt 'C m c m'
_space_group_IT_number 63
_space_group_name_Hall '-C 2c 2'
loop_
_atom_site_label
_atom_site_type_symbol
_atom_site_fract_x
_atom_site_fract_y
_atom_site_fract_z
Ca1 Ca 0.000 0.174 0.250
Al1 Al 0.250 0.250 0.000
Si1 Si 0.000 0.479 0.631
H1 H 0.000 0.169 0.750
O1 O 0.000 0.150 0.559
O2 O 0.000 0.363 0.066
O3 O 0.000 0.452 0.250
O4 O 0.232 0.378 0.616
```



(3)
# Ca2Al2SiH2O8
Calculated X-ray diffraction stick pattern, a wavelength of 1.5418 Å. Input: a DFT-relaxed cell (GGA-PBE, the Materials Project).
Neutral-atom scattering factors, no anomalous dispersion.

Largest 10 diffraction maxima, low angle first, 2θ = 10–90°:
two_theta, d/Å, Rel. int.
24.36, 3.654, 925
24.55, 3.626, 412
31.55, 2.835, 1000
31.97, 2.799, 511
34.81, 2.577, 418
42.79, 2.113, 368
43.10, 2.099, 191
58.16, 1.586, 260
58.64, 1.574, 505
60.40, 1.533, 249

Cell and atoms:
```
data_Ca2Al2SiH2O8
_chemical_formula_sum 'Ca8 Al8 Si4 H8 O32'
_cell_length_a 8.972
_cell_length_b 8.972
_cell_length_c 8.839
_cell_angle_alpha 90.00
_cell_angle_beta 90.00
_cell_angle_gamma 90.00
_space_group_name_H-M_alt 'I -4 2 m'
_space_group_IT_number 121
_space_group_name_Hall 'I -4 2'
loop_
_atom_site_label
_atom_site_type_symbol
_atom_site_fract_x
_atom_site_fract_y
_atom_site_fract_z
Ca1 Ca 0.142 0.142 0.355
Al1 Al 0.000 0.251 0.000
Si1 Si 0.000 0.500 0.250
H1 H 0.177 0.177 0.673
O1 O 0.076 0.368 0.854
O2 O 0.112 0.112 0.615
O3 O 0.147 0.147 0.079
```



(4)
# Ca2Al2SiH2O8
Calculated X-ray diffraction stick pattern, a wavelength of 1.5418 Å. Input: a DFT-relaxed cell (GGA-PBE, the Materials Project).
Neutral-atom scattering factors, no anomalous dispersion.

Largest 10 diffraction maxima, low angle first, 2θ = 10–90°:
two_theta, d/Å, Rel. int.
24.46, 3.640, 1000
31.66, 2.826, 382
31.78, 2.816, 779
34.86, 2.574, 322
37.74, 2.383, 245
42.99, 2.104, 246
43.10, 2.099, 278
58.53, 1.577, 401
58.66, 1.574, 197
60.58, 1.529, 187

Cell and atoms:
```
data_Ca2Al2SiH2O8
_chemical_formula_sum 'Ca16 Al16 Si8 H16 O64'
_cell_length_a 12.587
_cell_length_b 12.596
_cell_length_c 8.940
_cell_angle_alpha 90.00
_cell_angle_beta 90.00
_cell_angle_gamma 90.00
_space_group_name_H-M_alt 'A e a 2'
_space_group_IT_number 41
loop_
_space_group_symop_operation_xyz
'x,y,z'
'-x,-y,z'
'-x+1/2,y+1/2,z'
'x+1/2,-y+1/2,z'
'x,y+1/2,z+1/2'
'-x,-y+1/2,z+1/2'
'-x+1/2,y,z+1/2'
'x+1/2,-y,z+1/2'
loop_
_atom_site_label
_atom_site_type_symbol
_atom_site_fract_x
_atom_site_fract_y
_atom_site_fract_z
Ca1 Ca 0.001 0.143 0.000
Ca2 Ca 0.143 0.498 0.217
Al1 Al 0.121 0.375 0.858
Al2 Al 0.247 0.250 0.109
Si1 Si 0.128 0.124 0.359
H1 H 0.007 0.326 0.176
H2 H 0.174 0.492 0.541
O1 O 0.002 0.115 0.745
O2 O 0.010 0.138 0.281
O3 O 0.115 0.001 0.972
O4 O 0.133 0.282 0.003
O5 O 0.138 0.006 0.436
O6 O 0.143 0.214 0.492
O7 O 0.214 0.362 0.713
O8 O 0.218 0.139 0.227
```



(5)
# CaAl2Si4H4O14
Calculated X-ray diffraction stick pattern, a wavelength of 1.5418 Å. Input: a DFT-relaxed cell (GGA-PBE, the Materials Project).
Neutral-atom scattering factors, no anomalous dispersion.

Largest 10 diffraction maxima, low angle first, 2θ = 10–90°:
two_theta, d/Å, Rel. int.
12.60, 7.026, 808
20.56, 4.320, 216
21.22, 4.186, 324
24.11, 3.691, 339
24.98, 3.565, 1000
26.61, 3.350, 285
27.11, 3.289, 248
27.75, 3.215, 197
28.81, 3.099, 219
34.26, 2.617, 216

Cell and atoms:
```
data_CaAl2Si4H4O14
_chemical_formula_sum 'Ca4 Al8 Si16 H16 O56'
_cell_length_a 14.952
_cell_length_b 13.157
_cell_length_c 7.587
_cell_angle_alpha 90.00
_cell_angle_beta 109.99
_cell_angle_gamma 90.00
_space_group_name_H-M_alt 'C 1 2/m 1'
_space_group_IT_number 12
loop_
_space_group_symop_operation_xyz
'x,y,z'
'-x,-y,-z'
'-x,y,-z'
'x,-y,z'
'x+1/2,y+1/2,z'
'-x+1/2,-y+1/2,-z'
'-x+1/2,y+1/2,-z'
'x+1/2,-y+1/2,z'
loop_
_atom_site_label
_atom_site_type_symbol
_atom_site_fract_x
_atom_site_fract_y
_atom_site_fract_z
Ca1 Ca 0.242 0.000 0.267
Al1 Al 0.127 0.309 0.740
Si1 Si 0.081 0.383 0.327
Si2 Si 0.240 0.382 0.156
H1 H 0.018 0.029 0.321
H2 H 0.090 0.184 0.277
O1 O 0.007 0.306 0.725
O2 O 0.048 0.500 0.257
O3 O 0.139 0.385 0.554
O4 O 0.141 0.133 0.300
O5 O 0.151 0.341 0.216
O6 O 0.167 0.185 0.749
O7 O 0.207 0.382 0.926
O8 O 0.238 0.000 0.769
```